1.
This entry pairs a crystal structure of DySi2Rh3 with its calculated powder diffractogram. Radiation: CuKα. Structure: DFT lattice parameters and positions (GGA-PBE).
Neutral-atom scattering factors, no anomalous dispersion.

Peak list (10 most intense, 2θ = 15–90°, by angle)
- (1 0 1), 30.6 deg, rel. 96
- (2 0 0), 37.5 deg, rel. 100
- (1 1 1), 40.8 deg, rel. 82
- (2 0 1), 45.1 deg, rel. 20
- (0 0 2), 49.5 deg, rel. 21
- (2 1 1), 56.6 deg, rel. 34
- (3 0 1), 63.4 deg, rel. 22
- (2 0 2), 63.8 deg, rel. 42
- (2 2 0), 67.7 deg, rel. 24
- (2 2 2), 88.3 deg, rel. 25

Structure:
abc: 5.5377 5.5377 3.6804
angles: 90.00 90.00 120.00
Space group P6/mmm (No. 191)
Inequivalent atoms, fractional coordinates:
Dy (0.0000, 0.0000, 0.0000) (multiplicity 1)
Si (0.3333, 0.6667, 0.0000) (multiplicity 2)
Rh (0.0000, 0.5000, 0.5000) (multiplicity 3)

2.
This entry pairs a crystal structure of MgFe2Cu6SnS8 with its calculated powder diffractogram. Radiation: CuKα. Structure: DFT lattice parameters and positions (GGA-PBE).
Neutral-atom scattering factors, no anomalous dispersion.

Peak list (10 most intense, 2θ = 15–90°, by angle)
- (1 1 0), 19.8 deg, rel. 20
- (1 0 -2), 28.1 deg, rel. 83
- (1 2 0), 28.2 deg, rel. 100
- (0 2 -2), 31.9 deg, rel. 15
- (2 0 0), 32.8 deg, rel. 15
- (0 2 2), 33.1 deg, rel. 15
- (2 2 -2), 46.4 deg, rel. 52
- (0 4 0), 46.7 deg, rel. 52
- (-2 2 2), 47.1 deg, rel. 29
- (2 2 2), 47.4 deg, rel. 24

Structure:
abc: 5.468 7.790 7.792
angles: 92.02 90.27 90.29
Space group P1 (No. 1)
Inequivalent atoms, fractional coordinates:
Mg (0.000, 0.000, 0.000) (multiplicity 1)
Fe (0.000, 0.747, 0.254) (multiplicity 1)
Fe (0.500, 0.754, 0.247) (multiplicity 1)
Cu (0.045, 0.312, 0.234) (multiplicity 1)
Cu (0.478, 0.011, 0.494) (multiplicity 1)
Cu (0.500, 0.001, 0.000) (multiplicity 1)
Cu (0.500, 0.514, 0.487) (multiplicity 1)
Cu (0.522, 0.507, 0.990) (multiplicity 1)
Cu (0.954, 0.766, 0.687) (multiplicity 1)
Sn (0.000, 0.285, 0.716) (multiplicity 1)
S (0.253, 0.747, 0.001) (multiplicity 1)
S (0.257, 0.760, 0.492) (multiplicity 1)
S (0.262, 0.259, 0.989) (multiplicity 1)
S (0.273, 0.263, 0.468) (multiplicity 1)
S (0.727, 0.533, 0.738) (multiplicity 1)
S (0.738, 0.012, 0.741) (multiplicity 1)
S (0.743, 0.508, 0.241) (multiplicity 1)
S (0.748, 0.000, 0.254) (multiplicity 1)

3.
This entry pairs a crystal structure of In2Ni21B6 with its calculated powder diffractogram. Radiation: CuKα. Structure: DFT lattice parameters and positions (GGA-PBE).
Neutral-atom scattering factors, no anomalous dispersion.

Peak list (10 most intense, 2θ = 15–90°, by angle)
- (4 2 0), 38.0 deg, rel. 49
- (4 2 2), 41.8 deg, rel. 46
- (3 3 3), 44.5 deg, rel. 100
- (4 4 0), 48.7 deg, rel. 26
- (5 3 1), 51.1 deg, rel. 25
- (6 2 2), 57.8 deg, rel. 13
- (6 4 4), 73.9 deg, rel. 14
- (6 6 0), 76.4 deg, rel. 30
- (5 5 5), 78.3 deg, rel. 12
- (9 1 1), 83.2 deg, rel. 7

Structure:
abc: 10.580 10.580 10.580
angles: 90.00 90.00 90.00
Space group Fm-3m (No. 225)
Inequivalent atoms, fractional coordinates:
In (0.250, 0.250, 0.250) (multiplicity 8)
Ni (0.000, 0.000, 0.000) (multiplicity 4)
Ni (0.000, 0.168, 0.168) (multiplicity 48)
Ni (0.114, 0.114, 0.386) (multiplicity 32)
B (0.000, 0.000, 0.272) (multiplicity 24)

4.
This entry pairs a crystal structure of Cs3SiF7 with its calculated powder diffractogram. Radiation: CuKα. Structure: DFT lattice parameters and positions (GGA-PBE).
Neutral-atom scattering factors, no anomalous dispersion.

Peak list (10 most intense, 2θ = 15–90°, by angle)
- (2 1 0), 23.5 deg, rel. 20
- (2 0 1), 25.4 deg, rel. 100
- (2 1 1), 27.5 deg, rel. 27
- (0 0 2), 28.6 deg, rel. 28
- (2 2 0), 29.8 deg, rel. 34
- (3 1 0), 33.4 deg, rel. 24
- (2 1 2), 37.3 deg, rel. 30
- (2 2 2), 41.8 deg, rel. 25
- (3 1 2), 44.6 deg, rel. 15
- (4 1 1), 46.5 deg, rel. 16

Structure:
abc: 8.474 8.474 6.240
angles: 90.00 90.00 90.00
Space group P4/mbm (No. 127)
Inequivalent atoms, fractional coordinates:
Cs (0.000, 0.000, 0.000) (multiplicity 2)
Cs (0.196, 0.304, 0.500) (multiplicity 4)
Si (0.000, 0.500, 0.000) (multiplicity 2)
F (0.000, 0.000, 0.500) (multiplicity 2)
F (0.101, 0.601, 0.196) (multiplicity 8)
F (0.144, 0.356, 0.000) (multiplicity 4)